Starting from the PBE geometry in Alexandria, the X-ray powder pattern of NaGa4Au2 was computed for λ = 1.5418 Å (Cu Kα).
Peak positions follow from Bragg's law for the DFT cell and can differ from measured ones.

Crystal structure
a b c (Å): 16.854 4.427 7.273
angles (deg): 90.00 90.00 90.00
Positions (direct):
Na: 0.145 0.250 0.049
Na: 0.355 0.750 0.549
Na: 0.645 0.250 0.451
Na: 0.855 0.750 0.951
Ga: 0.038 0.750 0.877
Ga: 0.062 0.250 0.460
Ga: 0.185 0.750 0.755
Ga: 0.188 0.750 0.352
Ga: 0.312 0.250 0.852
Ga: 0.315 0.250 0.255
Ga: 0.438 0.750 0.960
Ga: 0.462 0.250 0.377
Ga: 0.538 0.750 0.623
Ga: 0.562 0.250 0.040
Ga: 0.685 0.750 0.745
Ga: 0.688 0.750 0.148
Ga: 0.812 0.250 0.648
Ga: 0.815 0.250 0.245
Ga: 0.938 0.750 0.540
Ga: 0.962 0.250 0.123
Au: 0.035 0.750 0.247
Au: 0.215 0.250 0.558
Au: 0.285 0.750 0.058
Au: 0.465 0.250 0.747
Au: 0.535 0.750 0.253
Au: 0.715 0.250 0.942
Au: 0.785 0.750 0.442
Au: 0.965 0.250 0.753

Main lines, low angle first (2θ = 10–80°):
two_theta	intensity
21.1	52
24.1	54
29.2	45
33.6	68
35.7	56
40.8	67
43.9	100
45.7	73